Theoretical X-ray diffraction stick pattern
Compound: TbAl8Cr4
Radiation: Cu Kα, 1.54184 Å
Structure: the PBE geometry in Alexandria
Intensities are scaled so that the largest is 1000.

Unit cell a=6.7960 b=6.7960 c=6.7960 alpha=97.94 beta=97.94 gamma=136.35
Fractional positions:
Tb 0.0000 0.0000 0.0000
Al 0.0000 0.3374 0.3374
Al 0.0000 0.6626 0.6626
Al 0.2769 0.5000 0.7769
Al 0.3374 0.0000 0.3374
Al 0.5000 0.2769 0.7769
Al 0.5000 0.7231 0.2231
Al 0.6626 0.0000 0.6626
Al 0.7231 0.5000 0.2231
Cr 0.0000 0.0000 0.5000
Cr 0.0000 0.5000 0.0000
Cr 0.5000 0.0000 0.0000
Cr 0.5000 0.5000 0.5000

Peak list (10 most intense, 10 to 80 degrees two-theta, sorted by position)
2θ 14.04, d = 6.309 Å, rel. 582; 2θ 20.20, d = 4.397 Å, rel. 533; 2θ 28.29, d = 3.155 Å, rel. 419; 2θ 28.50, d = 3.131 Å, rel. 706; 2θ 31.71, d = 2.821 Å, rel. 345; 2θ 35.01, d = 2.563 Å, rel. 544; 2θ 40.44, d = 2.231 Å, rel. 769; 2θ 40.59, d = 2.222 Å, rel. 886; 2θ 41.06, d = 2.198 Å, rel. 1000; 2θ 58.99, d = 1.566 Å, rel. 367

***

Theoretical X-ray diffraction stick pattern
Compound: NaGaSn
Radiation: Cu Kα, 1.54184 Å
Structure: the PBE geometry in Alexandria
Intensities are scaled so that the largest is 1000.

Unit cell a=3.2467 b=4.9780 c=8.8372 alpha=90.00 beta=90.00 gamma=90.00
Fractional positions:
Na 0.0000 0.0000 0.0000
Na 0.0000 0.5000 0.5000
Ga 0.5000 0.0000 0.3472
Ga 0.5000 0.0000 0.6528
Sn 0.5000 0.5000 0.1776
Sn 0.5000 0.5000 0.8224

Peak list (10 most intense, 10 to 80 degrees two-theta, sorted by position)
2θ 20.10, d = 4.419 Å, rel. 249; 2θ 20.48, d = 4.337 Å, rel. 426; 2θ 27.47, d = 3.247 Å, rel. 608; 2θ 34.27, d = 2.616 Å, rel. 367; 2θ 34.51, d = 2.599 Å, rel. 672; 2θ 35.41, d = 2.535 Å, rel. 1000; 2θ 36.09, d = 2.489 Å, rel. 498; 2θ 45.39, d = 1.998 Å, rel. 600; 2θ 45.94, d = 1.975 Å, rel. 308; 2θ 68.65, d = 1.367 Å, rel. 288

***

Theoretical X-ray diffraction stick pattern
Compound: K2UF5
Radiation: Cu Kα, 1.54184 Å
Structure: the PBE geometry in Alexandria
Intensities are scaled so that the largest is 1000.

Unit cell a=11.1474 b=7.7277 c=6.7637 alpha=90.00 beta=90.00 gamma=90.00
Fractional positions:
K 0.1716 0.0020 0.0240
K 0.1716 0.4980 0.0240
K 0.3284 0.5020 0.5240
K 0.3284 0.9980 0.5240
K 0.6716 0.0020 0.4760
K 0.6716 0.4980 0.4760
K 0.8284 0.5020 0.9760
K 0.8284 0.9980 0.9760
U 0.0010 0.7500 0.4403
U 0.4990 0.2500 0.9403
U 0.5010 0.7500 0.0597
U 0.9990 0.2500 0.5597
F 0.0104 0.2500 0.9052
F 0.0858 0.5305 0.6443
F 0.0858 0.9695 0.6443
F 0.1712 0.2500 0.3601
F 0.1985 0.7500 0.3287
F 0.3015 0.2500 0.8287
F 0.3288 0.7500 0.8601
F 0.4142 0.0305 0.1443
F 0.4142 0.4695 0.1443
F 0.4896 0.7500 0.4052
F 0.5104 0.2500 0.5948
F 0.5858 0.5305 0.8557
F 0.5858 0.9695 0.8557
F 0.6712 0.2500 0.1399
F 0.6985 0.7500 0.1713
F 0.8015 0.2500 0.6713
F 0.8288 0.7500 0.6399
F 0.9142 0.0305 0.3557
F 0.9142 0.4695 0.3557
F 0.9896 0.7500 0.0948

Peak list (10 most intense, 10 to 80 degrees two-theta, sorted by position)
2θ 15.32, d = 5.783 Å, rel. 1000; 2θ 15.90, d = 5.574 Å, rel. 492; 2θ 26.35, d = 3.382 Å, rel. 221; 2θ 27.39, d = 3.257 Å, rel. 495; 2θ 27.77, d = 3.213 Å, rel. 729; 2θ 28.10, d = 3.175 Å, rel. 440; 2θ 38.90, d = 2.315 Å, rel. 325; 2θ 39.88, d = 2.260 Å, rel. 248; 2θ 44.93, d = 2.018 Å, rel. 215; 2θ 49.05, d = 1.857 Å, rel. 324

***

Theoretical X-ray diffraction stick pattern
Compound: K6Bi6O19
Radiation: Cu Kα, 1.54184 Å
Structure: the PBE geometry in Alexandria
Intensities are scaled so that the largest is 1000.

Unit cell a=8.7378 b=8.7378 c=10.2223 alpha=124.03 beta=124.03 gamma=71.84
Fractional positions:
K 0.1260 0.1260 0.2620
K 0.4430 0.1449 0.9900
K 0.5151 0.1611 0.6645
K 0.8389 0.4849 0.3355
K 0.8551 0.5570 0.0100
K 0.8740 0.8740 0.7380
Bi 0.0070 0.3120 0.6602
Bi 0.1883 0.8117 0.5000
Bi 0.3419 0.6481 0.1552
Bi 0.3519 0.6581 0.8448
Bi 0.5066 0.4934 0.5000
Bi 0.6880 0.9930 0.3398
O 0.1420 0.4235 0.9456
O 0.1438 0.4416 0.6264
O 0.1695 0.8043 0.2741
O 0.1957 0.8305 0.7259
O 0.2076 0.5146 0.3753
O 0.2092 0.7908 0.0000
O 0.2209 0.1028 0.6486
O 0.4688 0.1994 0.3437
O 0.4854 0.7924 0.6247
O 0.4878 0.5122 0.0000
O 0.5035 0.4823 0.2817
O 0.5177 0.4965 0.7183
O 0.5584 0.8562 0.3736
O 0.5765 0.8580 0.0544
O 0.7944 0.2056 0.0000
O 0.8006 0.5312 0.6563
O 0.8379 0.1505 0.6335
O 0.8495 0.1621 0.3665
O 0.8972 0.7791 0.3514

Peak list (10 most intense, 10 to 80 degrees two-theta, sorted by position)
2θ 11.98, d = 7.389 Å, rel. 222; 2θ 12.23, d = 7.238 Å, rel. 767; 2θ 17.33, d = 5.116 Å, rel. 597; 2θ 27.25, d = 3.273 Å, rel. 292; 2θ 27.55, d = 3.238 Å, rel. 1000; 2θ 27.98, d = 3.189 Å, rel. 215; 2θ 32.15, d = 2.784 Å, rel. 227; 2θ 32.47, d = 2.758 Å, rel. 445; 2θ 32.93, d = 2.720 Å, rel. 206; 2θ 44.89, d = 2.019 Å, rel. 236

***

Theoretical X-ray diffraction stick pattern
Compound: LaDyOsAu
Radiation: Cu Kα, 1.54184 Å
Structure: the PBE geometry in Alexandria
Intensities are scaled so that the largest is 1000.

Unit cell a=7.1667 b=7.1667 c=7.1667 alpha=90.00 beta=90.00 gamma=90.00
Fractional positions:
La 0.0000 0.0000 0.0000
La 0.0000 0.5000 0.5000
La 0.5000 0.0000 0.5000
La 0.5000 0.5000 0.0000
Dy 0.0000 0.0000 0.5000
Dy 0.0000 0.5000 0.0000
Dy 0.5000 0.0000 0.0000
Dy 0.5000 0.5000 0.5000
Os 0.2500 0.2500 0.2500
Os 0.2500 0.7500 0.7500
Os 0.7500 0.2500 0.7500
Os 0.7500 0.7500 0.2500
Au 0.2500 0.2500 0.7500
Au 0.2500 0.7500 0.2500
Au 0.7500 0.2500 0.2500
Au 0.7500 0.7500 0.7500

Peak list (7 most intense, 10 to 80 degrees two-theta, sorted by position)
2θ 24.85, d = 3.583 Å, rel. 19; 2θ 35.43, d = 2.534 Å, rel. 1000; 2θ 43.76, d = 2.069 Å, rel. 6; 2θ 50.97, d = 1.792 Å, rel. 179; 2θ 57.51, d = 1.603 Å, rel. 9; 2θ 63.60, d = 1.463 Å, rel. 370; 2θ 74.96, d = 1.267 Å, rel. 115

***

Theoretical X-ray diffraction stick pattern
Compound: Ac2PRuPt
Radiation: Cu Kα, 1.54184 Å
Structure: the PBE geometry in Alexandria
Intensities are scaled so that the largest is 1000.

Unit cell a=4.2059 b=4.2059 c=14.8129 alpha=90.00 beta=90.00 gamma=90.00
Fractional positions:
Ac 0.2500 0.2500 0.0991
Ac 0.2500 0.2500 0.6714
Ac 0.7500 0.7500 0.3286
Ac 0.7500 0.7500 0.9009
P 0.2500 0.2500 0.4199
P 0.7500 0.7500 0.5801
Ru 0.2500 0.7500 0.5000
Ru 0.7500 0.2500 0.5000
Pt 0.2500 0.2500 0.8861
Pt 0.7500 0.7500 0.1139

Peak list (10 most intense, 10 to 80 degrees two-theta, sorted by position)
2θ 21.97, d = 4.046 Å, rel. 379; 2θ 24.03, d = 3.703 Å, rel. 313; 2θ 30.05, d = 2.974 Å, rel. 895; 2θ 30.17, d = 2.963 Å, rel. 526; 2θ 30.66, d = 2.916 Å, rel. 475; 2θ 38.84, d = 2.319 Å, rel. 918; 2θ 43.04, d = 2.101 Å, rel. 1000; 2θ 53.43, d = 1.715 Å, rel. 437; 2θ 64.73, d = 1.440 Å, rel. 307; 2θ 70.88, d = 1.329 Å, rel. 352

***

Theoretical X-ray diffraction stick pattern
Compound: DyZn4Ni4
Radiation: Cu Kα, 1.54184 Å
Structure: the PBE geometry in Alexandria
Intensities are scaled so that the largest is 1000.

Unit cell a=7.8664 b=7.8664 c=4.2361 alpha=90.00 beta=90.00 gamma=90.00
Fractional positions:
Dy 0.2500 0.2500 0.2500
Dy 0.7500 0.7500 0.7500
Zn 0.1179 0.8337 0.7390
Zn 0.1663 0.6179 0.2390
Zn 0.3337 0.8821 0.2390
Zn 0.3821 0.6663 0.7390
Zn 0.6179 0.3337 0.2610
Zn 0.6663 0.1179 0.7610
Zn 0.8337 0.3821 0.7610
Zn 0.8821 0.1663 0.2610
Ni 0.0300 0.1229 0.7602
Ni 0.1229 0.4700 0.7398
Ni 0.3771 0.0300 0.7398
Ni 0.4700 0.3771 0.7602
Ni 0.5300 0.6229 0.2398
Ni 0.6229 0.9700 0.2602
Ni 0.8771 0.5300 0.2602
Ni 0.9700 0.8771 0.2398

Peak list (10 most intense, 10 to 80 degrees two-theta, sorted by position)
2θ 33.10, d = 2.706 Å, rel. 719; 2θ 36.11, d = 2.488 Å, rel. 639; 2θ 40.46, d = 2.230 Å, rel. 1000; 2θ 42.69, d = 2.118 Å, rel. 549; 2θ 46.84, d = 1.940 Å, rel. 979; 2θ 57.12, d = 1.613 Å, rel. 322; 2θ 59.96, d = 1.543 Å, rel. 217; 2θ 76.37, d = 1.247 Å, rel. 205; 2θ 76.63, d = 1.243 Å, rel. 221; 2θ 77.11, d = 1.237 Å, rel. 184

***

Theoretical X-ray diffraction stick pattern
Compound: CsRbTiO3
Radiation: Cu Kα, 1.54184 Å
Structure: the PBE geometry in Alexandria
Intensities are scaled so that the largest is 1000.

Unit cell a=7.2605 b=7.2605 c=5.6800 alpha=93.39 beta=93.39 gamma=125.49
Fractional positions:
Cs 0.2408 0.7592 0.7500
Cs 0.7592 0.2408 0.2500
Rb 0.4130 0.5870 0.2500
Rb 0.5870 0.4130 0.7500
Ti 0.0447 0.9553 0.2500
Ti 0.9553 0.0447 0.7500
O 0.1639 0.2068 0.4920
O 0.1837 0.8163 0.2500
O 0.2068 0.1639 0.9920
O 0.7932 0.8361 0.0080
O 0.8163 0.1837 0.7500
O 0.8361 0.7932 0.5080

Peak list (10 most intense, 10 to 80 degrees two-theta, sorted by position)
2θ 27.05, d = 3.297 Å, rel. 619; 2θ 28.45, d = 3.138 Å, rel. 877; 2θ 30.38, d = 2.942 Å, rel. 1000; 2θ 31.77, d = 2.816 Å, rel. 372; 2θ 39.30, d = 2.292 Å, rel. 311; 2θ 44.95, d = 2.017 Å, rel. 201; 2θ 47.38, d = 1.919 Å, rel. 241; 2θ 51.13, d = 1.787 Å, rel. 228; 2θ 53.41, d = 1.715 Å, rel. 176; 2θ 53.60, d = 1.710 Å, rel. 191

***

Theoretical X-ray diffraction stick pattern
Compound: Nd4Ga12Tc
Radiation: Cu Kα, 1.54184 Å
Structure: the PBE geometry in Alexandria
Intensities are scaled so that the largest is 1000.

Unit cell a=7.6271 b=7.6271 c=7.6271 alpha=109.47 beta=109.47 gamma=109.47
Fractional positions:
Nd 0.0000 0.0000 0.5000
Nd 0.0000 0.5000 0.0000
Nd 0.5000 0.0000 0.0000
Nd 0.5000 0.5000 0.5000
Ga 0.0000 0.2895 0.2895
Ga 0.0000 0.7105 0.7105
Ga 0.2500 0.5000 0.7500
Ga 0.2500 0.7500 0.5000
Ga 0.2895 0.0000 0.2895
Ga 0.2895 0.2895 0.0000
Ga 0.5000 0.2500 0.7500
Ga 0.5000 0.7500 0.2500
Ga 0.7105 0.0000 0.7105
Ga 0.7105 0.7105 0.0000
Ga 0.7500 0.2500 0.5000
Ga 0.7500 0.5000 0.2500
Tc 0.0000 0.0000 0.0000

Peak list (10 most intense, 10 to 80 degrees two-theta, sorted by position)
2θ 28.67, d = 3.114 Å, rel. 268; 2θ 35.30, d = 2.542 Å, rel. 1000; 2θ 38.24, d = 2.354 Å, rel. 93; 2θ 40.99, d = 2.202 Å, rel. 646; 2θ 48.48, d = 1.878 Å, rel. 71; 2θ 50.79, d = 1.798 Å, rel. 79; 2θ 59.36, d = 1.557 Å, rel. 388; 2θ 67.23, d = 1.393 Å, rel. 78; 2θ 70.99, d = 1.328 Å, rel. 313; 2θ 74.67, d = 1.271 Å, rel. 118

***

Theoretical X-ray diffraction stick pattern
Compound: Tl2Ga10Ge
Radiation: Cu Kα, 1.54184 Å
Structure: the PBE geometry in Alexandria
Intensities are scaled so that the largest is 1000.

Unit cell a=5.9209 b=9.8380 c=10.1005 alpha=90.00 beta=109.50 gamma=90.00
Fractional positions:
Tl 0.1231 0.0020 0.1676
Tl 0.1231 0.4980 0.6676
Tl 0.8769 0.5020 0.3324
Tl 0.8769 0.9980 0.8324
Ga 0.1383 0.1961 0.4114
Ga 0.1383 0.3039 0.9114
Ga 0.1409 0.6952 0.9110
Ga 0.1409 0.8048 0.4110
Ga 0.3319 0.1415 0.7055
Ga 0.3319 0.3585 0.2055
Ga 0.3367 0.6496 0.2069
Ga 0.3367 0.8504 0.7069
Ga 0.4990 0.1311 0.9992
Ga 0.4990 0.3689 0.4992
Ga 0.5010 0.6311 0.5008
Ga 0.5010 0.8689 0.0008
Ga 0.6633 0.1496 0.2931
Ga 0.6633 0.3504 0.7931
Ga 0.6681 0.6415 0.7945
Ga 0.6681 0.8585 0.2945
Ga 0.8591 0.1952 0.5890
Ga 0.8591 0.3048 0.0890
Ga 0.8617 0.6961 0.0886
Ga 0.8617 0.8039 0.5886
Ge 0.5000 0.0000 0.5000
Ge 0.5000 0.5000 0.0000

Peak list (10 most intense, 10 to 80 degrees two-theta, sorted by position)
2θ 17.96, d = 4.939 Å, rel. 364; 2θ 28.79, d = 3.101 Å, rel. 244; 2θ 31.45, d = 2.845 Å, rel. 1000; 2θ 31.59, d = 2.832 Å, rel. 595; 2θ 33.86, d = 2.647 Å, rel. 583; 2θ 35.73, d = 2.513 Å, rel. 799; 2θ 36.34, d = 2.472 Å, rel. 420; 2θ 38.12, d = 2.361 Å, rel. 280; 2θ 39.51, d = 2.281 Å, rel. 565; 2θ 56.08, d = 1.640 Å, rel. 316

***

Theoretical X-ray diffraction stick pattern
Compound: Hg5Pt3
Radiation: Cu Kα, 1.54184 Å
Structure: the PBE geometry in Alexandria
Intensities are scaled so that the largest is 1000.

Unit cell a=7.8305 b=7.8305 c=6.2389 alpha=90.00 beta=90.00 gamma=120.00
Fractional positions:
Hg 0.0000 0.2320 0.2500
Hg 0.0000 0.7680 0.7500
Hg 0.2320 0.0000 0.2500
Hg 0.2320 0.2320 0.7500
Hg 0.3333 0.6667 0.0000
Hg 0.3333 0.6667 0.5000
Hg 0.6667 0.3333 0.0000
Hg 0.6667 0.3333 0.5000
Hg 0.7680 0.0000 0.7500
Hg 0.7680 0.7680 0.2500
Pt 0.0000 0.4039 0.7500
Pt 0.0000 0.5961 0.2500
Pt 0.4039 0.0000 0.7500
Pt 0.4039 0.4039 0.2500
Pt 0.5961 0.0000 0.2500
Pt 0.5961 0.5961 0.7500

Peak list (10 most intense, 10 to 80 degrees two-theta, sorted by position)
2θ 28.62, d = 3.119 Å, rel. 220; 2θ 31.57, d = 2.834 Å, rel. 178; 2θ 35.01, d = 2.563 Å, rel. 306; 2θ 36.84, d = 2.440 Å, rel. 727; 2θ 37.95, d = 2.371 Å, rel. 1000; 2θ 39.88, d = 2.260 Å, rel. 259; 2θ 55.41, d = 1.658 Å, rel. 137; 2θ 57.03, d = 1.615 Å, rel. 312; 2θ 59.24, d = 1.560 Å, rel. 121; 2θ 76.60, d = 1.244 Å, rel. 198